1.
This entry pairs a crystal structure of Ir2CBrCl with its calculated X-ray powder pattern. Radiation: Cu Ka. Structure: a PBE-relaxed structure.
Neutral-atom scattering factors, no anomalous dispersion.

Structure:
abc: 3.3829 3.3829 9.1459
angles: 90.00 90.00 120.00
Sites, in units of the cell vectors:
Ir  0.0000  0.0000  0.0000
Ir  0.3333  0.6667  0.2121
C  0.6667  0.3333  0.1069
Br  0.3333  0.6667  0.7919
Cl  0.0000  0.0000  0.4026

Most intense lines, 10 to 90 degrees two-theta, in order of falling intensity:
| Position (°2θ) | I (rel.) |
| --- | --- |
| 36.42 | 1000 |
| 42.81 | 512 |
| 30.51 | 308 |
| 54.23 | 268 |
| 32.08 | 238 |
| 76.75 | 172 |
| 67.10 | 169 |
| 55.23 | 147 |
| 80.49 | 115 |
| 71.45 | 113 |

=====

2.
This entry pairs a crystal structure of La2Nd2CBr2Cl3 with its calculated X-ray powder pattern. Radiation: Cu Ka. Structure: a PBE-relaxed structure.
Neutral-atom scattering factors, no anomalous dispersion.

Structure:
abc: 9.4557 9.4557 8.1347
angles: 105.29 105.29 24.02
Sites, in units of the cell vectors:
La  0.1446  0.1446  0.0921
La  0.8554  0.8554  0.9079
Nd  0.5000  0.5000  0.2141
Nd  0.5000  0.5000  0.7859
C  0.0000  0.0000  0.0000
Br  0.3321  0.3321  0.1782
Br  0.6679  0.6679  0.8218
Cl  0.0000  0.0000  0.5000
Cl  0.3414  0.3414  0.6442
Cl  0.6586  0.6586  0.3558

Most intense lines, 10 to 90 degrees two-theta, in order of falling intensity:
| Position (°2θ) | I (rel.) |
| --- | --- |
| 31.66 | 1000 |
| 11.30 | 738 |
| 30.10 | 505 |
| 45.08 | 336 |
| 43.41 | 271 |
| 56.08 | 215 |
| 27.20 | 212 |
| 33.95 | 201 |
| 33.58 | 189 |
| 46.14 | 189 |

=====

3.
This entry pairs a crystal structure of La2Nd2CBr2Cl3 with its calculated X-ray powder pattern. Radiation: Cu Ka. Structure: a PBE-relaxed structure.
Neutral-atom scattering factors, no anomalous dispersion.

Structure:
abc: 9.2363 9.2363 8.1596
angles: 103.62 103.62 24.70
Sites, in units of the cell vectors:
La  0.1470  0.1470  0.0852
La  0.8530  0.8530  0.9148
Nd  0.4970  0.4970  0.2120
Nd  0.5030  0.5030  0.7880
C  0.0000  0.0000  0.0000
Br  0.3357  0.3357  0.6315
Br  0.6643  0.6643  0.3685
Cl  0.0000  0.0000  0.5000
Cl  0.3312  0.3312  0.1649
Cl  0.6688  0.6688  0.8351

Most intense lines, 10 to 90 degrees two-theta, in order of falling intensity:
| Position (°2θ) | I (rel.) |
| --- | --- |
| 31.52 | 1000 |
| 30.63 | 508 |
| 11.17 | 376 |
| 30.95 | 328 |
| 44.78 | 319 |
| 44.28 | 297 |
| 10.10 | 236 |
| 28.07 | 230 |
| 13.14 | 213 |
| 45.94 | 193 |

=====

4.
This entry pairs a crystal structure of La2Pr2CBrCl4 with its calculated X-ray powder pattern. Radiation: Cu Ka. Structure: a PBE-relaxed structure.
Neutral-atom scattering factors, no anomalous dispersion.

Structure:
abc: 9.2389 9.2389 8.4518
angles: 105.33 105.33 24.89
Sites, in units of the cell vectors:
La  0.1479  0.1479  0.0914
La  0.8521  0.8521  0.9086
Pr  0.4985  0.4985  0.2061
Pr  0.5015  0.5015  0.7939
C  0.0000  0.0000  0.0000
Br  0.0000  0.0000  0.5000
Cl  0.3305  0.3305  0.1488
Cl  0.3368  0.3368  0.6566
Cl  0.6632  0.6632  0.3434
Cl  0.6695  0.6695  0.8512

Most intense lines, 10 to 90 degrees two-theta, in order of falling intensity:
| Position (°2θ) | I (rel.) |
| --- | --- |
| 30.88 | 1000 |
| 10.87 | 332 |
| 10.19 | 330 |
| 44.83 | 175 |
| 43.62 | 159 |
| 27.71 | 127 |
| 27.18 | 123 |
| 20.41 | 110 |
| 45.56 | 105 |
| 56.06 | 93 |

=====

5.
This entry pairs a crystal structure of La2Sm2C2Br3Cl2 with its calculated X-ray powder pattern. Radiation: Cu Ka. Structure: a PBE-relaxed structure.
Neutral-atom scattering factors, no anomalous dispersion.

Structure:
abc: 9.8952 9.8952 8.3037
angles: 104.32 104.32 23.14
Sites, in units of the cell vectors:
La  0.0005  0.0005  0.2046
La  0.9995  0.9995  0.7954
Sm  0.3440  0.3440  0.8962
Sm  0.6560  0.6560  0.1038
C  0.4626  0.4626  0.9763
C  0.5374  0.5374  0.0237
Br  0.1704  0.1704  0.8446
Br  0.5000  0.5000  0.5000
Br  0.8296  0.8296  0.1554
Cl  0.1610  0.1610  0.3422
Cl  0.8390  0.8390  0.6578

Most intense lines, 10 to 90 degrees two-theta, in order of falling intensity:
| Position (°2θ) | I (rel.) |
| --- | --- |
| 31.19 | 1000 |
| 11.01 | 742 |
| 28.55 | 655 |
| 43.40 | 390 |
| 42.17 | 350 |
| 54.79 | 217 |
| 45.72 | 194 |
| 27.42 | 176 |
| 32.69 | 175 |
| 30.26 | 174 |

=====

6.
This entry pairs a crystal structure of La2Sm2CBr2Cl3 with its calculated X-ray powder pattern. Radiation: Cu Ka. Structure: a PBE-relaxed structure.
Neutral-atom scattering factors, no anomalous dispersion.

Structure:
abc: 9.3750 9.3750 8.0633
angles: 104.96 104.96 23.94
Sites, in units of the cell vectors:
La  0.1458  0.1458  0.0892
La  0.8542  0.8542  0.9108
Sm  0.5004  0.5004  0.2125
Sm  0.4996  0.4996  0.7875
C  0.0000  0.0000  0.0000
Br  0.3339  0.3339  0.1876
Br  0.6661  0.6661  0.8124
Cl  0.0000  0.0000  0.5000
Cl  0.3425  0.3425  0.6434
Cl  0.6575  0.6575  0.3566

Most intense lines, 10 to 90 degrees two-theta, in order of falling intensity:
| Position (°2θ) | I (rel.) |
| --- | --- |
| 31.99 | 1000 |
| 11.38 | 731 |
| 30.31 | 528 |
| 45.39 | 338 |
| 43.90 | 284 |
| 27.44 | 232 |
| 56.71 | 214 |
| 33.94 | 193 |
| 46.72 | 190 |
| 34.26 | 188 |

=====

7.
This entry pairs a crystal structure of La2Sm2C2Br4Cl with its calculated X-ray powder pattern. Radiation: Cu Ka. Structure: a PBE-relaxed structure.
Neutral-atom scattering factors, no anomalous dispersion.

Structure:
abc: 9.9356 9.9356 8.1311
angles: 103.16 103.16 22.94
Sites, in units of the cell vectors:
La  0.0010  0.0010  0.2895
La  0.9990  0.9990  0.7105
Sm  0.3452  0.3452  0.4027
Sm  0.6548  0.6548  0.5973
C  0.4630  0.4630  0.4774
C  0.5370  0.5370  0.5226
Br  0.1627  0.1627  0.8654
Br  0.1708  0.1708  0.3350
Br  0.8292  0.8292  0.6650
Br  0.8373  0.8373  0.1346
Cl  0.5000  0.5000  0.0000

Most intense lines, 10 to 90 degrees two-theta, in order of falling intensity:
| Position (°2θ) | I (rel.) |
| --- | --- |
| 31.58 | 1000 |
| 28.27 | 677 |
| 11.19 | 520 |
| 43.26 | 401 |
| 42.51 | 355 |
| 45.93 | 212 |
| 54.81 | 206 |
| 30.23 | 193 |
| 27.61 | 185 |
| 32.73 | 183 |

=====

8.
This entry pairs a crystal structure of La2Sm2CBr3Cl2 with its calculated X-ray powder pattern. Radiation: Cu Ka. Structure: a PBE-relaxed structure.
Neutral-atom scattering factors, no anomalous dispersion.

Structure:
abc: 9.3851 9.3851 8.3055
angles: 105.32 105.32 24.18
Sites, in units of the cell vectors:
La  0.1460  0.1460  0.0892
La  0.8540  0.8540  0.9108
Sm  0.4993  0.4993  0.7949
Sm  0.5007  0.5007  0.2051
C  0.0000  0.0000  0.0000
Br  0.0000  0.0000  0.5000
Br  0.3338  0.3338  0.1794
Br  0.6662  0.6662  0.8206
Cl  0.3418  0.3418  0.6516
Cl  0.6582  0.6582  0.3484

Most intense lines, 10 to 90 degrees two-theta, in order of falling intensity:
| Position (°2θ) | I (rel.) |
| --- | --- |
| 31.35 | 1000 |
| 11.06 | 585 |
| 30.35 | 512 |
| 10.01 | 431 |
| 44.92 | 333 |
| 33.67 | 314 |
| 43.46 | 285 |
| 56.27 | 215 |
| 31.06 | 209 |
| 46.19 | 190 |

=====

9.
This entry pairs a crystal structure of La2Sm2C2Br2Cl3 with its calculated X-ray powder pattern. Radiation: Cu Ka. Structure: a PBE-relaxed structure.
Neutral-atom scattering factors, no anomalous dispersion.

Structure:
abc: 9.8884 9.8884 8.0432
angles: 104.07 104.07 22.99
Sites, in units of the cell vectors:
La  0.0006  0.0006  0.2125
La  0.9994  0.9994  0.7875
Sm  0.3441  0.3441  0.8951
Sm  0.6559  0.6559  0.1049
C  0.4627  0.4627  0.9763
C  0.5373  0.5373  0.0237
Br  0.1703  0.1703  0.8364
Br  0.8297  0.8297  0.1636
Cl  0.1606  0.1606  0.3523
Cl  0.5000  0.5000  0.5000
Cl  0.8394  0.8394  0.6477

Most intense lines, 10 to 90 degrees two-theta, in order of falling intensity:
| Position (°2θ) | I (rel.) |
| --- | --- |
| 31.80 | 1000 |
| 11.36 | 891 |
| 28.53 | 674 |
| 43.90 | 405 |
| 42.57 | 347 |
| 32.92 | 309 |
| 55.07 | 204 |
| 46.05 | 195 |
| 25.23 | 185 |
| 26.73 | 172 |

=====

10.
This entry pairs a crystal structure of Nd4C2BrCl4 with its calculated X-ray powder pattern. Radiation: Cu Ka. Structure: a PBE-relaxed structure.
Neutral-atom scattering factors, no anomalous dispersion.

Structure:
abc: 9.8013 9.8013 8.0438
angles: 114.07 114.07 23.05
Sites, in units of the cell vectors:
Nd  0.0000  0.0000  0.2047
Nd  0.0000  0.0000  0.7953
Nd  0.3309  0.3309  0.8316
Nd  0.6691  0.6691  0.1684
C  0.4596  0.4596  0.9597
C  0.5404  0.5404  0.0403
Br  0.5000  0.5000  0.5000
Cl  0.1667  0.1667  0.4283
Cl  0.1668  0.1668  0.9034
Cl  0.8332  0.8332  0.0966
Cl  0.8333  0.8333  0.5717

Most intense lines, 10 to 90 degrees two-theta, in order of falling intensity:
| Position (°2θ) | I (rel.) |
| --- | --- |
| 32.31 | 1000 |
| 30.72 | 594 |
| 41.27 | 517 |
| 27.31 | 449 |
| 18.82 | 413 |
| 36.91 | 410 |
| 12.11 | 409 |
| 10.13 | 324 |
| 27.45 | 264 |
| 32.67 | 255 |

=====

11.
This entry pairs a crystal structure of Nd4CBr2Cl3 with its calculated X-ray powder pattern. Radiation: Cu Ka. Structure: a PBE-relaxed structure.
Neutral-atom scattering factors, no anomalous dispersion.

Structure:
abc: 9.1308 9.1308 8.1455
angles: 102.99 102.99 24.76
Sites, in units of the cell vectors:
Nd  0.0031  0.0031  0.2866
Nd  0.3554  0.3554  0.4203
Nd  0.6446  0.6446  0.5797
Nd  0.9969  0.9969  0.7134
C  0.5000  0.5000  0.5000
Br  0.1669  0.1669  0.8567
Br  0.8331  0.8331  0.1433
Cl  0.1709  0.1709  0.3414
Cl  0.5000  0.5000  0.0000
Cl  0.8291  0.8291  0.6586

Most intense lines, 10 to 90 degrees two-theta, in order of falling intensity:
| Position (°2θ) | I (rel.) |
| --- | --- |
| 31.70 | 1000 |
| 44.86 | 579 |
| 30.91 | 459 |
| 11.16 | 457 |
| 31.11 | 317 |
| 34.52 | 229 |
| 10.19 | 213 |
| 13.28 | 204 |
| 56.77 | 203 |
| 28.36 | 197 |

=====

12.
This entry pairs a crystal structure of Nd4C2Br4Cl with its calculated X-ray powder pattern. Radiation: Cu Ka. Structure: a PBE-relaxed structure.
Neutral-atom scattering factors, no anomalous dispersion.

Structure:
abc: 10.2748 10.2748 8.0226
angles: 112.82 112.82 22.00
Sites, in units of the cell vectors:
Nd  0.0000  0.0000  0.2101
Nd  0.0000  0.0000  0.7899
Nd  0.3400  0.3400  0.8408
Nd  0.6600  0.6600  0.1592
C  0.4621  0.4621  0.9622
C  0.5379  0.5379  0.0378
Br  0.1637  0.1637  0.4428
Br  0.1638  0.1638  0.8829
Br  0.8362  0.8362  0.1171
Br  0.8363  0.8363  0.5572
Cl  0.5000  0.5000  0.5000

Most intense lines, 10 to 90 degrees two-theta, in order of falling intensity:
| Position (°2θ) | I (rel.) |
| --- | --- |
| 32.29 | 1000 |
| 28.91 | 754 |
| 36.62 | 448 |
| 12.02 | 435 |
| 40.33 | 367 |
| 31.91 | 261 |
| 55.52 | 235 |
| 27.08 | 234 |
| 46.31 | 215 |
| 47.17 | 209 |

=====

13.
This entry pairs a crystal structure of Nd4CBr2Cl3 with its calculated X-ray powder pattern. Radiation: Cu Ka. Structure: a PBE-relaxed structure.
Neutral-atom scattering factors, no anomalous dispersion.

Structure:
abc: 9.3332 9.3332 8.1405
angles: 104.23 104.23 24.12
Sites, in units of the cell vectors:
Nd  0.0000  0.0000  0.2153
Nd  0.0000  0.0000  0.7847
Nd  0.3572  0.3572  0.9147
Nd  0.6428  0.6428  0.0853
C  0.5000  0.5000  0.0000
Br  0.1699  0.1699  0.8258
Br  0.8301  0.8301  0.1742
Cl  0.1604  0.1604  0.3432
Cl  0.5000  0.5000  0.5000
Cl  0.8396  0.8396  0.6568

Most intense lines, 10 to 90 degrees two-theta, in order of falling intensity:
| Position (°2θ) | I (rel.) |
| --- | --- |
| 31.78 | 1000 |
| 11.23 | 841 |
| 30.35 | 463 |
| 45.00 | 313 |
| 44.04 | 260 |
| 10.01 | 255 |
| 34.03 | 247 |
| 56.64 | 224 |
| 34.24 | 217 |
| 25.43 | 212 |

=====

14.
This entry pairs a crystal structure of Nd4CBr3Cl2 with its calculated X-ray powder pattern. Radiation: Cu Ka. Structure: a PBE-relaxed structure.
Neutral-atom scattering factors, no anomalous dispersion.

Structure:
abc: 9.3466 9.3466 8.3851
angles: 103.85 103.85 24.36
Sites, in units of the cell vectors:
Nd  0.0000  0.0000  0.2069
Nd  0.0000  0.0000  0.7931
Nd  0.3581  0.3581  0.9196
Nd  0.6419  0.6419  0.0804
C  0.5000  0.5000  0.0000
Br  0.1704  0.1704  0.8311
Br  0.5000  0.5000  0.5000
Br  0.8296  0.8296  0.1689
Cl  0.1602  0.1602  0.3287
Cl  0.8398  0.8398  0.6713

Most intense lines, 10 to 90 degrees two-theta, in order of falling intensity:
| Position (°2θ) | I (rel.) |
| --- | --- |
| 31.14 | 1000 |
| 10.88 | 717 |
| 30.27 | 448 |
| 44.23 | 299 |
| 43.73 | 263 |
| 33.79 | 208 |
| 30.75 | 192 |
| 46.03 | 182 |
| 34.02 | 160 |
| 43.16 | 154 |